# DyB2
Calculated PXRD pattern, copper Kα. Input: a structure optimized by DFT (GGA-PBE).
Intensities are scaled so that the largest is 100.

The 11 most intense peaks (2θ from 10° to 80°), in order of rising 2θ:
index, d (Å), intensity
0 0 1, 3.863, 47
1 0 0, 2.856, 75
1 0 1, 2.297, 100
0 0 2, 1.932, 11
1 1 0, 1.649, 19
1 0 2, 1.600, 27
1 1 1, 1.517, 21
2 0 0, 1.428, 9
2 0 1, 1.339, 18
0 0 3, 1.288, 2
1 1 2, 1.254, 16

Structure:
Unit cell a=3.2979 b=3.2979 c=3.8631 alpha=90.00 beta=90.00 gamma=120.00
Sites, in units of the cell vectors:
Dy: 0.0000 0.0000 0.0000
B: 0.3333 0.6667 0.5000
B: 0.6667 0.3333 0.5000